Starting from the GGA-PBE geometry in OQMD, the X-ray powder pattern of LiScCdSe3 was computed for Cu Ka.

Peak list (10 most intense, 10 to 90 degrees two-theta, low angle first)
hkl 0 2 0, 13.5 deg, I 60; hkl 0 2 2, 21.2 deg, I 19; hkl 1 1 0, 23.7 deg, I 19; hkl 1 1 1, 25.1 deg, I 31; hkl 0 2 3, 28.1 deg, I 34; hkl 1 3 1, 31.8 deg, I 37; hkl 0 0 4, 33.0 deg, I 26; hkl 1 3 2, 34.9 deg, I 100; hkl 1 5 2, 44.8 deg, I 36; hkl 2 0 0, 46.3 deg, I 21

abc: 3.9184 13.1138 10.8677
angles: 90.00 90.00 90.00
Space group Cmcm (No. 63)
Unique sites:
Li 0.0000 0.2398 0.2500 [4 per cell]
Sc 0.0000 0.0000 0.0000 [4 per cell]
Cd 0.0000 0.4757 0.7500 [4 per cell]
Se 0.0000 0.1086 0.7500 [4 per cell]
Se 0.0000 0.3623 0.5555 [8 per cell]